Starting from a crystal structure in Alexandria, relaxed with GGA+U, the powder diffraction line list of LiMnPO4 was simulated for Cu Ka.

The 10 most intense peaks (2θ = 15–90°), low angle first:
| 2theta | d_spacing | I/Imax |
| --- | --- | --- |
| 19.53 | 4.546 | 85 |
| 20.27 | 4.382 | 88 |
| 21.41 | 4.151 | 100 |
| 27.26 | 3.272 | 32 |
| 29.13 | 3.065 | 31 |
| 34.20 | 2.622 | 22 |
| 35.05 | 2.560 | 51 |
| 40.28 | 2.239 | 20 |
| 48.61 | 1.873 | 28 |
| 59.25 | 1.560 | 25 |

Cell and atoms:
Lattice parameters (Å, degrees): 8.302 8.763 5.317 90.00 90.00 90.00
Space group Pna2_1 (No. 33)
Symmetry-distinct sites (fractional):
Li 0.051 0.181 0.000 (multiplicity 4)
Mn 0.164 0.544 0.170 (multiplicity 4)
P 0.245 0.407 0.711 (multiplicity 4)
O 0.070 0.409 0.839 (multiplicity 4)
O 0.143 0.925 0.441 (multiplicity 4)
O 0.235 0.759 0.062 (multiplicity 4)
O 0.237 0.046 0.031 (multiplicity 4)